The following is a computed X-ray diffraction stick pattern of Y3TmAl4. It was derived from a DFT-relaxed cell (GGA-PBE, Alexandria), using Cu Ka.
Lines closer than 0.1° are merged.

Main lines, in order of falling intensity (2θ = 15–90°):
- 2θ = 35.36°, I 100
- 2θ = 24.80°, I 46
- 2θ = 63.48°, I 35
- 2θ = 57.40°, I 18
- 2θ = 50.87°, I 17
- 2θ = 43.67°, I 14
- 2θ = 74.81°, I 11
- 2θ = 85.50°, I 10
- 2θ = 80.21°, I 8
- 2θ = 85.66°, I 5

Structural model:
```
data_Y3TmAl4
_space_group_name_H-M_alt 'P 4/m m m'
_space_group_IT_number 123
_space_group_name_Hall '-P 4 2'
_cell_length_a 3.592
_cell_length_b 3.592
_cell_length_c 14.342
_cell_angle_alpha 90.00
_cell_angle_beta 90.00
_cell_angle_gamma 90.00
loop_
_atom_site_label
_atom_site_fract_x
_atom_site_fract_y
_atom_site_fract_z
Y1 0.000 0.000 0.000
Y2 0.000 0.000 0.253
Tm1 0.000 0.000 0.500
Al1 0.500 0.500 0.126
Al2 0.500 0.500 0.380
```